Entry 1:
Starting from a DFT-relaxed cell (GGA+U, Alexandria), the X-ray powder pattern of MnAg3F7 was calculated for Cu Kα (weighted mean of Kα1 and Kα2).
Peak positions follow from Bragg's law for the DFT cell and can differ from measured ones.

Most intense lines, 10° ≤ 2θ ≤ 90°, in order of falling intensity:
Position (°2θ)	Rel. int.	(hkl)
28.8	100	0 2 1
26.2	57	2 0 0
29.6	50	2 0 -2
32.2	40	2 2 -1
45.4	34	2 2 1
49.7	29	2 2 -3

Crystal structure
a = 8.107 Å, b = 7.671 Å, c = 6.262 Å
α = 90.00°, β = 122.84°, γ = 90.00°
Space group Cm (No. 8)
Unique sites:
Mn 0.000 0.000 0.000 [2 per cell]
Ag 0.011 0.500 0.018 [2 per cell]
Ag 0.494 0.263 0.498 [4 per cell]
F 0.013 0.500 0.649 [2 per cell]
F 0.140 0.183 0.238 [4 per cell]
F 0.194 0.000 0.873 [2 per cell]
F 0.344 0.500 0.216 [2 per cell]
F 0.355 0.324 0.760 [4 per cell]


Entry 2:
Starting from a DFT-relaxed cell (GGA+U, Alexandria), the X-ray powder pattern of MnAg7F12 was calculated for Cu Kα (weighted mean of Kα1 and Kα2).
Peak positions follow from Bragg's law for the DFT cell and can differ from measured ones.

Most intense lines, 10° ≤ 2θ ≤ 90°, in order of falling intensity:
Position (°2θ)	Rel. int.	(hkl)
32.4	100	1 0 2
26.1	94	2 -1 0
26.7	82	1 1 -2
27.8	72	0 2 0
33.6	61	-1 1 2
31.4	42	1 -2 2

Crystal structure
a = 7.060 Å, b = 7.248 Å, c = 7.453 Å
α = 112.27°, β = 96.70°, γ = 103.09°
Space group P-1 (No. 2)
Unique sites:
Mn 0.000 0.000 0.000 [1 per cell]
Ag 0.000 0.000 0.500 [1 per cell]
Ag 0.177 0.528 0.872 [2 per cell]
Ag 0.328 0.567 0.359 [2 per cell]
Ag 0.489 0.071 0.234 [2 per cell]
F 0.073 0.705 0.396 [2 per cell]
F 0.103 0.282 0.038 [2 per cell]
F 0.172 0.079 0.298 [2 per cell]
F 0.219 0.931 0.890 [2 per cell]
F 0.406 0.734 0.162 [2 per cell]
F 0.413 0.576 0.676 [2 per cell]


Entry 3:
Starting from a DFT-relaxed cell (GGA+U, Alexandria), the X-ray powder pattern of MnAgPbF6 was calculated for Cu Kα (weighted mean of Kα1 and Kα2).
Peak positions follow from Bragg's law for the DFT cell and can differ from measured ones.

Most intense lines, 10° ≤ 2θ ≤ 90°, in order of falling intensity:
Position (°2θ)	Rel. int.	(hkl)
23.6	100	1 1 0
30.3	83	1 0 3
45.9	72	2 1 3
18.6	29	1 0 1
33.7	25	2 0 0
58.1	23	3 0 3

Crystal structure
a = 5.325 Å, b = 5.325 Å, c = 10.625 Å
α = 90.00°, β = 90.00°, γ = 90.00°
Space group P4_2nm (No. 102)
Unique sites:
Mn 0.000 0.000 0.000 [2 per cell]
Ag 0.000 0.000 0.661 [2 per cell]
Pb 0.000 0.000 0.335 [2 per cell]
F 0.181 0.181 0.145 [4 per cell]
F 0.181 0.181 0.858 [4 per cell]
F 0.250 0.250 0.501 [4 per cell]


Entry 4:
Starting from a DFT-relaxed cell (GGA+U, Alexandria), the X-ray powder pattern of RbMnAgF6 was calculated for Cu Kα (weighted mean of Kα1 and Kα2).
Peak positions follow from Bragg's law for the DFT cell and can differ from measured ones.

Most intense lines, 10° ≤ 2θ ≤ 90°, in order of falling intensity:
Position (°2θ)	Rel. int.	(hkl)
23.6	100	1 1 1
44.8	44	1 3 2
29.9	37	2 0 0
49.5	27	2 4 1
38.5	24	0 4 1
53.1	23	3 3 0

Crystal structure
a = 5.976 Å, b = 10.354 Å, c = 5.490 Å
α = 90.00°, β = 90.01°, γ = 90.00°
Space group C2 (No. 5)
Unique sites:
Rb 0.000 0.000 0.000 [2 per cell]
Mn 0.000 0.334 0.500 [2 per cell]
Ag 0.000 0.667 0.500 [2 per cell]
F 0.121 0.464 0.692 [4 per cell]
F 0.134 0.208 0.693 [4 per cell]
F 0.243 0.829 0.690 [4 per cell]